[1]
Diffraction record for Dy3HoTm2S6. The X-ray diffraction stick pattern is theoretical, not measured: it uses the GGA-PBE geometry in Alexandria and a wavelength of 1.5418 Å.
Peak positions follow from Bragg's law for the DFT cell and can differ from measured ones.

Main lines, by angle (2θ = 5–70°):
28.15 deg, d = 3.170 Å, I = 63, (0 0 2)
28.26 deg, d = 3.158 Å, I = 21, (2 0 0)
32.65 deg, d = 2.743 Å, I = 100, (1 3 1)
46.77 deg, d = 1.942 Å, I = 36, (0 6 0)
46.91 deg, d = 1.937 Å, I = 36, (2 0 2)
55.50 deg, d = 1.656 Å, I = 24, (1 3 3)
55.62 deg, d = 1.652 Å, I = 14, (3 3 1)
58.20 deg, d = 1.585 Å, I = 19, (0 0 4)
58.45 deg, d = 1.579 Å, I = 6, (4 0 0)
68.36 deg, d = 1.372 Å, I = 8, (2 6 2)

Crystal structure
```
data_Dy3HoTm2S6
_chemical_formula_sum 'Dy6 Ho2 Tm4 S12'
_cell_length_a 6.6983
_cell_length_b 11.6565
_cell_length_c 6.7269
_cell_angle_alpha 90.00
_cell_angle_beta 109.45
_cell_angle_gamma 90.00
_space_group_name_H-M_alt 'C 1 2/m 1'
_space_group_IT_number 12
loop_
_space_group_symop_operation_xyz
'x,y,z'
'-x,-y,-z'
'-x,y,-z'
'x,-y,z'
'x+1/2,y+1/2,z'
'-x+1/2,-y+1/2,-z'
'-x+1/2,y+1/2,-z'
'x+1/2,-y+1/2,z'
loop_
_atom_site_label
_atom_site_type_symbol
_atom_site_fract_x
_atom_site_fract_y
_atom_site_fract_z
Dy1 Dy 0.0000 0.0000 0.0000
Dy2 Dy 0.0000 0.3347 0.0000
Ho1 Ho 0.0000 0.5000 0.5000
Tm1 Tm 0.0000 0.1664 0.5000
S1 S 0.2456 0.0000 0.7446
S2 S 0.2503 0.1680 0.2544
```

[2]
Diffraction record for La3PrSe4. The X-ray diffraction stick pattern is theoretical, not measured: it uses the GGA-PBE geometry in Alexandria and a wavelength of 1.5418 Å.
Peak positions follow from Bragg's law for the DFT cell and can differ from measured ones.

Main lines, by angle (2θ = 5–70°):
25.28 deg, d = 3.524 Å, I = 7, (2 0 0)
29.37 deg, d = 3.041 Å, I = 100, (1 2 1)
41.83 deg, d = 2.159 Å, I = 13, (2 0 2)
41.99 deg, d = 2.152 Å, I = 50, (3 2 -1)
42.27 deg, d = 2.138 Å, I = 12, (0 4 0)
51.90 deg, d = 1.762 Å, I = 13, (4 0 0)
52.27 deg, d = 1.750 Å, I = 13, (2 4 -2)
60.99 deg, d = 1.519 Å, I = 8, (2 4 2)
68.95 deg, d = 1.362 Å, I = 11, (5 2 -3)
69.08 deg, d = 1.360 Å, I = 11, (4 4 0)

Crystal structure
```
data_La3PrSe4
_chemical_formula_sum 'La6 Pr2 Se8'
_cell_length_a 7.4686
_cell_length_b 8.5519
_cell_length_c 7.4706
_cell_angle_alpha 90.00
_cell_angle_beta 109.36
_cell_angle_gamma 90.00
_space_group_name_H-M_alt 'P 1 2/c 1'
_space_group_IT_number 13
loop_
_space_group_symop_operation_xyz
'x,y,z'
'-x,-y,-z'
'-x,y,-z+1/2'
'x,-y,z+1/2'
loop_
_atom_site_label
_atom_site_type_symbol
_atom_site_fract_x
_atom_site_fract_y
_atom_site_fract_z
La1 La 0.0000 0.1246 0.2500
La2 La 0.0000 0.3743 0.7500
La3 La 0.5000 0.3743 0.2500
Pr1 Pr 0.5000 0.1244 0.7500
Se1 Se 0.2512 0.1243 0.0000
Se2 Se 0.2507 0.3744 0.5008
```